No. 1
Calculated XRD peak list of NaLiAgI3 for Cu Kα, from a DFT-relaxed cell (PBE, Alexandria).
Intensities are scaled so that the largest is 100.

Cell and atoms:
Cell: 8.652 4.322 11.131 Å, 90.00 100.48 90.00°
Element x y z (fractional)
Na1 0.206 0.250 0.247
Na2 0.794 0.750 0.753
Li1 0.105 0.250 0.604
Li2 0.895 0.750 0.396
Ag1 0.330 0.750 0.902
Ag2 0.670 0.250 0.098
I1 0.088 0.250 0.847
I2 0.222 0.750 0.495
I3 0.440 0.750 0.163
I4 0.560 0.250 0.837
I5 0.778 0.250 0.505
I6 0.912 0.750 0.153

The 6 most intense peaks (10 to 80 degrees two-theta), by angle:
Position (°2θ), I (rel.)
23.8, 37
24.1, 37
24.4, 81
29.4, 75
29.5, 100
41.8, 55


No. 2
Calculated XRD peak list of LiAgI2O8 for Cu Kα, from a DFT-relaxed cell (PBE, Alexandria).
Intensities are scaled so that the largest is 100.

Cell and atoms:
Cell: 6.283 6.283 6.283 Å, 107.06 107.06 114.41°
Element x y z (fractional)
Li1 0.000 0.000 0.000
Ag1 0.250 0.750 0.500
I1 0.500 0.500 0.000
I2 0.750 0.250 0.500
O1 0.335 0.144 0.809
O2 0.335 0.526 0.191
O3 0.399 0.092 0.307
O4 0.474 0.665 0.809
O5 0.784 0.092 0.693
O6 0.856 0.665 0.191
O7 0.908 0.216 0.307
O8 0.908 0.601 0.693

The 6 most intense peaks (10 to 80 degrees two-theta), by angle:
Position (°2θ), I (rel.)
17.6, 44
23.8, 100
29.8, 34
31.3, 80
33.9, 19
46.8, 62


No. 3
Calculated XRD peak list of LiPmAg2I6 for Cu Kα, from a DFT-relaxed cell (PBE, Alexandria).
Intensities are scaled so that the largest is 100.

Cell and atoms:
Cell: 8.477 8.477 8.477 Å, 54.52 54.52 54.52°
Element x y z (fractional)
Li1 0.000 0.000 0.000
Pm1 0.501 0.501 0.501
Ag1 0.248 0.248 0.248
Ag2 0.754 0.754 0.754
I1 0.105 0.389 0.755
I2 0.246 0.896 0.613
I3 0.389 0.755 0.105
I4 0.613 0.246 0.896
I5 0.755 0.105 0.389
I6 0.896 0.613 0.246

The 6 most intense peaks (10 to 80 degrees two-theta), by angle:
Position (°2θ), I (rel.)
24.7, 30
26.1, 100
31.3, 20
40.2, 42
44.4, 22
47.8, 25


No. 4
Calculated XRD peak list of Mg2Ag2IO6 for Cu Kα, from a DFT-relaxed cell (PBE, Alexandria).
Intensities are scaled so that the largest is 100.

Cell and atoms:
Cell: 5.383 5.383 6.325 Å, 101.19 101.19 118.72°
Element x y z (fractional)
Mg1 0.166 0.834 0.000
Mg2 0.834 0.166 0.000
Ag1 0.185 0.815 0.500
Ag2 0.815 0.185 0.500
I1 0.500 0.500 0.000
O1 0.103 0.103 0.811
O2 0.259 0.580 0.180
O3 0.420 0.741 0.820
O4 0.580 0.259 0.180
O5 0.741 0.420 0.820
O6 0.897 0.897 0.189

The 6 most intense peaks (10 to 80 degrees two-theta), by angle:
Position (°2θ), I (rel.)
20.7, 89
24.5, 100
30.6, 49
34.0, 61
35.4, 59
41.3, 87


No. 5
Calculated XRD peak list of Mn3AgI9 for Cu Kα, from a DFT-relaxed cell (PBE, Alexandria).
Intensities are scaled so that the largest is 100.

Cell and atoms:
Cell: 11.911 11.911 15.346 Å, 128.29 128.29 45.82°
Element x y z (fractional)
Mn1 0.028 0.368 0.603
Mn2 0.126 0.540 0.119
Mn3 0.139 0.861 0.500
Mn4 0.368 0.028 0.103
Mn5 0.540 0.126 0.619
Mn6 0.861 0.139 0.000
Ag1 0.658 0.790 0.845
Ag2 0.790 0.658 0.345
I1 0.062 0.724 0.524
I2 0.098 0.830 0.293
I3 0.192 0.936 0.077
I4 0.230 0.359 0.227
I5 0.307 0.481 0.045
I6 0.359 0.230 0.727
I7 0.367 0.954 0.903
I8 0.464 0.712 0.595
I9 0.481 0.307 0.545
I10 0.531 0.864 0.443
I11 0.661 0.904 0.256
I12 0.712 0.464 0.095
I13 0.724 0.062 0.024
I14 0.830 0.098 0.793
I15 0.864 0.531 0.943
I16 0.904 0.661 0.756
I17 0.936 0.192 0.577
I18 0.954 0.367 0.403

The 6 most intense peaks (10 to 80 degrees two-theta), by angle:
Position (°2θ), I (rel.)
15.8, 36
25.2, 52
25.3, 41
25.8, 100
26.7, 77
44.3, 26


No. 6
Calculated XRD peak list of MnAgI for Cu Kα, from a DFT-relaxed cell (PBE, Alexandria).
Intensities are scaled so that the largest is 100.

Cell and atoms:
Cell: 12.602 3.783 6.572 Å, 90.00 90.00 90.00°
Element x y z (fractional)
Mn1 0.000 0.000 0.000
Mn2 0.000 0.500 0.500
Mn3 0.500 0.000 0.224
Mn4 0.500 0.500 0.724
Ag1 0.131 0.000 0.335
Ag2 0.131 0.500 0.835
Ag3 0.869 0.000 0.335
Ag4 0.869 0.500 0.835
I1 0.352 0.000 0.892
I2 0.352 0.500 0.392
I3 0.648 0.000 0.892
I4 0.648 0.500 0.392

The 6 most intense peaks (10 to 80 degrees two-theta), by angle:
Position (°2θ), I (rel.)
27.2, 44
28.1, 33
28.3, 16
34.7, 100
39.6, 23
48.6, 18


No. 7
Calculated XRD peak list of MnAg3I6 for Cu Kα, from a DFT-relaxed cell (PBE, Alexandria).
Intensities are scaled so that the largest is 100.

Cell and atoms:
Cell: 9.065 9.065 9.065 Å, 91.34 91.34 91.34°
Element x y z (fractional)
Mn1 0.000 0.000 0.000
Mn2 0.500 0.500 0.500
Ag1 0.131 0.406 0.278
Ag2 0.278 0.131 0.406
Ag3 0.406 0.278 0.131
Ag4 0.594 0.722 0.869
Ag5 0.722 0.869 0.594
Ag6 0.869 0.594 0.722
I1 0.046 0.705 0.949
I2 0.051 0.954 0.295
I3 0.205 0.397 0.578
I4 0.295 0.051 0.954
I5 0.397 0.578 0.205
I6 0.422 0.795 0.603
I7 0.578 0.205 0.397
I8 0.603 0.422 0.795
I9 0.705 0.949 0.046
I10 0.795 0.603 0.422
I11 0.949 0.046 0.705
I12 0.954 0.295 0.051

The 6 most intense peaks (10 to 80 degrees two-theta), by angle:
Position (°2θ), I (rel.)
13.7, 68
24.0, 100
27.5, 37
31.0, 53
31.5, 64
45.2, 54


No. 8
Calculated XRD peak list of Rb2MnAg2I6 for Cu Kα, from a DFT-relaxed cell (PBE, Alexandria).
Intensities are scaled so that the largest is 100.

Cell and atoms:
Cell: 8.743 8.743 8.743 Å, 59.72 59.72 59.72°
Element x y z (fractional)
Rb1 0.230 0.230 0.230
Rb2 0.770 0.770 0.770
Mn1 0.000 0.000 0.000
Ag1 0.420 0.420 0.420
Ag2 0.580 0.580 0.580
I1 0.217 0.765 0.765
I2 0.235 0.235 0.783
I3 0.235 0.783 0.235
I4 0.765 0.217 0.765
I5 0.765 0.765 0.217
I6 0.783 0.235 0.235

The 6 most intense peaks (10 to 80 degrees two-theta), by angle:
Position (°2θ), I (rel.)
14.4, 50
24.9, 73
25.0, 100
28.9, 94
41.5, 63
49.0, 69


No. 9
Calculated XRD peak list of MnTl3Ag3I8 for Cu Kα, from a DFT-relaxed cell (PBE, Alexandria).
Intensities are scaled so that the largest is 100.

Cell and atoms:
Cell: 8.931 8.931 9.577 Å, 117.74 117.74 59.84°
Element x y z (fractional)
Mn1 0.000 0.000 0.000
Tl1 0.000 0.000 0.500
Tl2 0.000 0.500 0.500
Tl3 0.500 0.000 0.500
Ag1 0.000 0.500 0.000
Ag2 0.500 0.000 0.000
Ag3 0.500 0.500 0.000
I1 0.226 0.226 0.201
I2 0.227 0.749 0.202
I3 0.251 0.773 0.798
I4 0.265 0.265 0.796
I5 0.735 0.735 0.204
I6 0.749 0.227 0.202
I7 0.773 0.251 0.798
I8 0.774 0.774 0.799

The 6 most intense peaks (10 to 80 degrees two-theta), by angle:
Position (°2θ), I (rel.)
27.4, 100
37.7, 33
40.4, 26
40.5, 12
49.5, 20
65.8, 10


No. 10
Calculated XRD peak list of AgMoS2I for Cu Kα, from a DFT-relaxed cell (PBE, Alexandria).
Intensities are scaled so that the largest is 100.

Cell and atoms:
Cell: 5.174 5.174 5.246 Å, 90.00 90.00 90.00°
Element x y z (fractional)
Ag1 0.000 0.000 0.000
Mo1 0.500 0.500 0.000
S1 0.000 0.500 0.500
S2 0.500 0.000 0.500
I1 0.000 0.000 0.500

The 6 most intense peaks (10 to 80 degrees two-theta), by angle:
Position (°2θ), I (rel.)
17.1, 63
24.3, 100
34.2, 47
34.7, 90
42.4, 46
49.5, 63


No. 11
Calculated XRD peak list of Na4AgI5 for Cu Kα, from a DFT-relaxed cell (PBE, Alexandria).
Intensities are scaled so that the largest is 100.

Cell and atoms:
Cell: 18.803 18.803 18.803 Å, 13.92 13.92 13.92°
Element x y z (fractional)
Na1 0.102 0.102 0.102
Na2 0.299 0.299 0.299
Na3 0.701 0.701 0.701
Na4 0.898 0.898 0.898
Ag1 0.500 0.500 0.500
I1 0.000 0.000 0.000
I2 0.197 0.197 0.197
I3 0.401 0.401 0.401
I4 0.599 0.599 0.599
I5 0.803 0.803 0.803

The 6 most intense peaks (10 to 80 degrees two-theta), by angle:
Position (°2θ), I (rel.)
23.9, 47
27.7, 100
39.5, 75
48.9, 26
64.7, 32
71.7, 23


No. 12
Calculated XRD peak list of Na2NdAgI6 for Cu Kα, from a DFT-relaxed cell (PBE, Alexandria).
Intensities are scaled so that the largest is 100.

Cell and atoms:
Cell: 8.901 8.901 8.901 Å, 53.22 53.22 53.22°
Element x y z (fractional)
Na1 0.000 0.000 0.000
Na2 0.485 0.485 0.485
Nd1 0.805 0.805 0.805
Ag1 0.224 0.224 0.224
I1 0.073 0.414 0.724
I2 0.208 0.895 0.593
I3 0.414 0.724 0.073
I4 0.593 0.208 0.895
I5 0.724 0.073 0.414
I6 0.895 0.593 0.208

The 6 most intense peaks (10 to 80 degrees two-theta), by angle:
Position (°2θ), I (rel.)
23.3, 28
25.2, 100
32.5, 28
39.1, 37
42.2, 26
46.1, 18